Record 1
Computed powder diffraction line list
Compound: Pm3ScO6
Radiation: λ = 1.5418 Å (Cu Kα)
Structure: the PBE geometry in Alexandria
Kinematic intensities with the Lorentz-polarization factor, no thermal factor.

Top 8 peaks for 10° ≤ 2θ ≤ 80°, by intensity:
2θ (°), Rel. int., (hkl)
29.0, 100, 3 -1 1
32.1, 44, 1 2 2
30.0, 41, 2 -1 3
23.7, 39, 0 0 3
42.7, 27, 3 -1 4
49.3, 23, 4 1 0
41.6, 21, 3 1 2
52.1, 18, 1 1 6

Crystal structure
```
data_Pm3ScO6
_cell_length_a 9.7877
_cell_length_b 9.7877
_cell_length_c 11.2846
_cell_angle_alpha 90.00
_cell_angle_beta 90.00
_cell_angle_gamma 120.00
_space_group_name_H-M_alt 'R -3'
_space_group_IT_number 148
_space_group_name_Hall '-R 3'
loop_
_atom_site_label
_atom_site_fract_x
_atom_site_fract_y
_atom_site_fract_z
Pm1 0.0407 0.7738 0.2056
Sc1 0.0000 0.0000 0.0000
Sc2 0.0000 0.0000 0.5000
O1 0.0275 0.8441 0.8828
O2 0.0288 0.8224 0.4048
```

***

Record 2
Computed powder diffraction line list
Compound: Sc3BiB
Radiation: λ = 1.5418 Å (Cu Kα)
Structure: the PBE geometry in Alexandria
Kinematic intensities with the Lorentz-polarization factor, no thermal factor.

Top 8 peaks for 10° ≤ 2θ ≤ 80°, by intensity:
2θ (°), Rel. int., (hkl)
32.2, 100, 0 4 1
33.5, 94, 2 0 1
37.8, 71, 2 4 0
24.3, 48, 1 1 1
15.0, 47, 1 1 0
55.2, 46, 2 4 2
30.5, 44, 1 3 1
19.1, 36, 0 0 1

Crystal structure
```
data_Sc3BiB
_cell_length_a 6.548
_cell_length_b 13.882
_cell_length_c 4.652
_cell_angle_alpha 90.00
_cell_angle_beta 90.00
_cell_angle_gamma 90.00
_space_group_name_H-M_alt 'C m m m'
_space_group_IT_number 65
_space_group_name_Hall '-C 2 2'
loop_
_atom_site_label
_atom_site_fract_x
_atom_site_fract_y
_atom_site_fract_z
Sc1 0.000 0.129 0.000
Sc2 0.240 0.000 0.500
Sc3 0.250 0.250 0.500
Bi1 0.000 0.364 0.000
B1 0.000 0.128 0.500
```

***

Record 3
Computed powder diffraction line list
Compound: SrLa2MgC
Radiation: λ = 1.5418 Å (Cu Kα)
Structure: the PBE geometry in Alexandria
Kinematic intensities with the Lorentz-polarization factor, no thermal factor.

Top 8 peaks for 10° ≤ 2θ ≤ 80°, by intensity:
2θ (°), Rel. int., (hkl)
28.9, 100, 1 1 1
34.4, 35, 2 0 0
47.4, 28, 2 0 2
58.3, 28, 3 1 1
15.6, 22, 0 0 1
31.6, 22, 0 0 2
54.6, 17, 1 1 3
59.9, 14, 2 2 2

Crystal structure
```
data_SrLa2MgC
_cell_length_a 5.215
_cell_length_b 5.215
_cell_length_c 5.664
_cell_angle_alpha 90.00
_cell_angle_beta 90.00
_cell_angle_gamma 90.00
_space_group_name_H-M_alt 'P 4/m m m'
_space_group_IT_number 123
_space_group_name_Hall '-P 4 2'
loop_
_atom_site_label
_atom_site_fract_x
_atom_site_fract_y
_atom_site_fract_z
Sr1 0.000 0.000 0.000
La1 0.000 0.500 0.500
Mg1 0.500 0.500 0.000
C1 0.000 0.000 0.500
```

***

Record 4
Computed powder diffraction line list
Compound: Nd5HoP6
Radiation: λ = 1.5418 Å (Cu Kα)
Structure: the PBE geometry in Alexandria
Kinematic intensities with the Lorentz-polarization factor, no thermal factor.

Top 8 peaks for 10° ≤ 2θ ≤ 80°, by intensity:
2θ (°), Rel. int., (hkl)
30.5, 100, 1 3 1
26.4, 81, 2 0 0
43.7, 73, 2 0 2
51.8, 40, 3 3 1
72.2, 33, 4 6 0
54.3, 26, 4 0 0
70.1, 16, 4 0 2
63.6, 12, 2 6 2

Crystal structure
```
data_Nd5HoP6
_cell_length_a 7.171
_cell_length_b 12.417
_cell_length_c 7.169
_cell_angle_alpha 90.00
_cell_angle_beta 109.49
_cell_angle_gamma 90.00
_space_group_name_H-M_alt 'C 1 2/m 1'
_space_group_IT_number 12
loop_
_space_group_symop_operation_xyz
'x,y,z'
'-x,-y,-z'
'-x,y,-z'
'x,-y,z'
'x+1/2,y+1/2,z'
'-x+1/2,-y+1/2,-z'
'-x+1/2,y+1/2,-z'
'x+1/2,-y+1/2,z'
loop_
_atom_site_label
_atom_site_fract_x
_atom_site_fract_y
_atom_site_fract_z
Nd1 0.000 0.000 0.000
Nd2 0.000 0.166 0.500
Nd3 0.000 0.332 0.000
Ho1 0.000 0.500 0.500
P1 0.245 0.500 0.253
P2 0.246 0.336 0.746
```